Starting from the PBE geometry in Alexandria, the powder XRD pattern of Na2HOsO6 was computed for λ = 1.5418 Å (Cu Kα).

Peak list (6 most intense, 2θ from 10° to 90°, most intense first)
| 2theta | d [Å] | I (rel.) | h k l |
| --- | --- | --- | --- |
| 15.8 | 5.601 | 100 | 0 0 1 |
| 21.1 | 4.208 | 52 | 1 -1 0 |
| 18.0 | 4.927 | 49 | 0 1 0 |
| 21.9 | 4.050 | 38 | 1 0 -1 |
| 19.8 | 4.477 | 36 | 0 1 -1 |
| 27.7 | 3.223 | 27 | 0 1 1 |

Structural model:
```
Na2HOsO6
1.0
4.7502 0.0000 0.0000
-2.0530 5.2001 0.0000
-1.3784 -1.8910 5.6006
Na H Os O
2 1 1 6
Cartesian
-0.5399 0.2512 1.5933
1.8586 3.0579 4.0074
2.3751 0.0000 0.0000
1.3486 2.6000 0.0000
-0.5684 2.3906 0.5004
-0.3878 0.2147 3.9027
1.5488 0.7238 0.5026
-0.2300 2.5853 5.0980
1.7066 3.0944 1.6980
1.8872 0.9185 5.1003
```